# 1
For Sm8PdRh2, DFT lattice parameters and positions (GGA-PBE) gives the calculated powder diffractogram in this record (Cu Kα).
Intensities are scaled so that the largest is 100.

Most intense lines, 2θ = 5–70°, sorted by position:
| 2θ/deg | I/Imax |
| --- | --- |
| 29.4 | 55 |
| 30.1 | 100 |
| 30.9 | 58 |
| 31.9 | 75 |
| 33.0 | 75 |
| 33.4 | 51 |
| 36.1 | 49 |
| 38.7 | 76 |

Cell and atoms:
```
data_Sm8PdRh2
_chemical_formula_sum 'Sm8 Pd1 Rh2'
_space_group_name_H-M_alt 'P 1'
_space_group_IT_number 1
_cell_length_a 7.632
_cell_length_b 7.632
_cell_length_c 6.257
_cell_angle_alpha 100.21
_cell_angle_beta 100.21
_cell_angle_gamma 113.24
loop_
_space_group_symop_operation_xyz
'x,y,z'
loop_
_atom_site_label
_atom_site_type_symbol
_atom_site_fract_x
_atom_site_fract_y
_atom_site_fract_z
_atom_site_occupancy
Sm1 Sm 0.000 0.000 0.000 1
Sm2 Sm 0.021 0.284 0.583 1
Sm3 Sm 0.151 0.581 0.188 1
Sm4 Sm 0.284 0.021 0.583 1
Sm5 Sm 0.445 0.709 0.798 1
Sm6 Sm 0.581 0.151 0.188 1
Sm7 Sm 0.709 0.445 0.798 1
Sm8 Sm 0.725 0.725 0.372 1
Pd1 Pd 0.358 0.358 0.010 1
Rh1 Rh 0.052 0.675 0.684 1
Rh2 Rh 0.675 0.052 0.684 1
```


# 2
For SmThPdRh, DFT lattice parameters and positions (GGA-PBE) gives the calculated powder diffractogram in this record (Cu Kα).
Intensities are scaled so that the largest is 100.

Most intense lines, 2θ = 5–70°, sorted by position:
| 2θ/deg | I/Imax |
| --- | --- |
| 31.2 | 42 |
| 32.2 | 100 |
| 32.9 | 23 |
| 39.3 | 62 |
| 42.7 | 25 |
| 46.8 | 19 |
| 51.1 | 16 |
| 53.8 | 18 |

Cell and atoms:
```
data_SmThPdRh
_chemical_formula_sum 'Sm1 Th1 Pd1 Rh1'
_space_group_name_H-M_alt 'P 1'
_space_group_IT_number 1
_cell_length_a 4.238
_cell_length_b 6.047
_cell_length_c 6.047
_cell_angle_alpha 37.45
_cell_angle_beta 90.00
_cell_angle_gamma 90.00
loop_
_space_group_symop_operation_xyz
'x,y,z'
loop_
_atom_site_label
_atom_site_type_symbol
_atom_site_fract_x
_atom_site_fract_y
_atom_site_fract_z
_atom_site_occupancy
Sm1 Sm 0.000 0.000 0.000 1
Th1 Th 0.500 0.275 0.275 1
Pd1 Pd 0.500 0.554 0.554 1
Rh1 Rh 0.000 0.741 0.741 1
```


# 3
For SmYPdRh, DFT lattice parameters and positions (GGA-PBE) gives the calculated powder diffractogram in this record (Cu Kα).
Intensities are scaled so that the largest is 100.

Most intense lines, 2θ = 5–70°, sorted by position:
| 2θ/deg | I/Imax |
| --- | --- |
| 32.1 | 100 |
| 33.7 | 30 |
| 34.8 | 17 |
| 39.4 | 23 |
| 40.1 | 31 |
| 40.3 | 67 |
| 48.4 | 18 |
| 53.4 | 16 |

Cell and atoms:
```
data_SmYPdRh
_chemical_formula_sum 'Sm1 Y1 Pd1 Rh1'
_space_group_name_H-M_alt 'P 1'
_space_group_IT_number 1
_cell_length_a 4.497
_cell_length_b 5.640
_cell_length_c 5.640
_cell_angle_alpha 38.95
_cell_angle_beta 90.00
_cell_angle_gamma 90.00
loop_
_space_group_symop_operation_xyz
'x,y,z'
loop_
_atom_site_label
_atom_site_type_symbol
_atom_site_fract_x
_atom_site_fract_y
_atom_site_fract_z
_atom_site_occupancy
Sm1 Sm 0.000 0.000 0.000 1
Y1 Y 0.500 0.722 0.722 1
Pd1 Pd 0.500 0.443 0.443 1
Rh1 Rh 0.000 0.269 0.269 1
```


# 4
For ZnSnPdRh, DFT lattice parameters and positions (GGA-PBE) gives the calculated powder diffractogram in this record (Cu Kα).
Intensities are scaled so that the largest is 100.

Most intense lines, 2θ = 5–70°, sorted by position:
| 2θ/deg | I/Imax |
| --- | --- |
| 24.5 | 5 |
| 39.3 | 100 |
| 43.0 | 39 |
| 43.5 | 1 |
| 50.1 | 2 |
| 50.9 | 12 |
| 62.4 | 13 |
| 68.8 | 19 |

Cell and atoms:
```
data_ZnSnPdRh
_chemical_formula_sum 'Zn1 Sn1 Pd1 Rh1'
_space_group_name_H-M_alt 'P 1'
_space_group_IT_number 1
_cell_length_a 4.661
_cell_length_b 4.661
_cell_length_c 4.661
_cell_angle_alpha 126.33
_cell_angle_beta 126.33
_cell_angle_gamma 79.35
loop_
_space_group_symop_operation_xyz
'x,y,z'
loop_
_atom_site_label
_atom_site_type_symbol
_atom_site_fract_x
_atom_site_fract_y
_atom_site_fract_z
_atom_site_occupancy
Zn1 Zn 0.000 0.000 0.000 1
Sn1 Sn 0.500 0.500 0.000 1
Pd1 Pd 0.750 0.250 0.500 1
Rh1 Rh 0.250 0.750 0.500 1
```